No. 1
Starting from DFT lattice parameters and positions (PBE), the X-ray powder pattern of Pu2SeF4 was simulated for Cu Kα.

Structure:
a = 7.9585 Å, b = 7.9585 Å, c = 7.9585 Å
α = 30.09°, β = 30.09°, γ = 30.09°
Fractional coordinates of all 7 atoms:
Pu  0.2447  0.2447  0.2447
Pu  0.7553  0.7553  0.7553
Se  0.0000  0.0000  0.0000
F  0.1396  0.1396  0.1396
F  0.4298  0.4298  0.4298
F  0.5702  0.5702  0.5702
F  0.8604  0.8604  0.8604

Top 10 peaks for 2θ = 10–90°, by intensity:
d = 3.029 Å, I 100
d = 3.413 Å, I 73
d = 2.066 Å, I 54
d = 2.228 Å, I 48
d = 3.796 Å, I 36
d = 1.814 Å, I 30
d = 1.398 Å, I 22
d = 1.707 Å, I 20
d = 1.921 Å, I 19
d = 1.316 Å, I 18

***

No. 2
Starting from DFT lattice parameters and positions (PBE), the X-ray powder pattern of PuSiF6 was simulated for Cu Kα.

Structure:
a = 4.7234 Å, b = 4.7234 Å, c = 4.7235 Å
α = 98.49°, β = 98.49°, γ = 99.00°
Fractional coordinates of all 8 atoms:
Pu  0.0000  0.0000  0.0000
Si  0.5000  0.5000  0.5000
F  0.2393  0.2393  0.5764
F  0.2393  0.5733  0.2401
F  0.4267  0.7607  0.7599
F  0.5733  0.2393  0.2401
F  0.7607  0.4267  0.7599
F  0.7607  0.7607  0.4236

Top 10 peaks for 2θ = 10–90°, by intensity:
d = 3.583 Å, I 100
d = 4.596 Å, I 75
d = 2.220 Å, I 40
d = 2.999 Å, I 40
d = 1.937 Å, I 37
d = 1.927 Å, I 33
d = 2.215 Å, I 20
d = 2.987 Å, I 20
d = 2.298 Å, I 20
d = 2.831 Å, I 15

***

No. 3
Starting from DFT lattice parameters and positions (PBE), the X-ray powder pattern of Pu2SnF11 was simulated for Cu Kα.

Structure:
a = 8.7646 Å, b = 8.7646 Å, c = 8.7646 Å
α = 121.46°, β = 107.82°, γ = 99.91°
Fractional coordinates of all 28 atoms:
Pu  0.1785  0.1531  0.3316
Pu  0.3215  0.6531  0.9745
Pu  0.6785  0.3469  0.0255
Pu  0.8215  0.8469  0.6684
Sn  0.2500  0.7500  0.5000
Sn  0.7500  0.2500  0.5000
F  0.0000  0.0000  0.0000
F  0.0540  0.4491  0.7767
F  0.0631  0.8626  0.6622
F  0.1723  0.9491  0.3951
F  0.2005  0.4009  0.3378
F  0.2130  0.8612  0.0742
F  0.2870  0.3612  0.6481
F  0.2995  0.6374  0.2005
F  0.3277  0.7227  0.7767
F  0.4369  0.0991  0.7995
F  0.4460  0.2227  0.3951
F  0.5000  0.5000  0.0000
F  0.5540  0.7773  0.6049
F  0.5631  0.9009  0.2005
F  0.6723  0.2773  0.2233
F  0.7005  0.3626  0.7995
F  0.7130  0.6388  0.3519
F  0.7870  0.1388  0.9258
F  0.7995  0.5991  0.6622
F  0.8277  0.0509  0.6049
F  0.9369  0.1374  0.3378
F  0.9460  0.5509  0.2233

Top 10 peaks for 2θ = 10–90°, by intensity:
d = 3.735 Å, I 100
d = 4.117 Å, I 78
d = 4.286 Å, I 67
d = 5.639 Å, I 64
d = 3.808 Å, I 61
d = 2.048 Å, I 47
d = 2.065 Å, I 32
d = 2.726 Å, I 27
d = 2.114 Å, I 27
d = 2.864 Å, I 22

***

No. 4
Starting from DFT lattice parameters and positions (PBE), the X-ray powder pattern of TbPuF was simulated for Cu Kα.

Structure:
a = 3.4346 Å, b = 4.0965 Å, c = 8.8100 Å
α = 78.98°, β = 84.13°, γ = 71.34°
Fractional coordinates of all 6 atoms:
Tb  0.0261  0.1614  0.2010
Tb  0.9739  0.8386  0.7990
Pu  0.3284  0.2932  0.5013
Pu  0.6716  0.7068  0.4987
F  0.1566  0.2448  0.9203
F  0.8434  0.7552  0.0797

Top 10 peaks for 2θ = 10–90°, by intensity:
d = 8.639 Å, I 100
d = 2.670 Å, I 44
d = 2.880 Å, I 37
d = 3.299 Å, I 17
d = 2.170 Å, I 16
d = 2.654 Å, I 14
d = 3.138 Å, I 14
d = 1.965 Å, I 14
d = 2.138 Å, I 12
d = 2.544 Å, I 11

***

No. 5
Starting from DFT lattice parameters and positions (PBE), the X-ray powder pattern of Pu2Tl5F12 was simulated for Cu Kα.

Structure:
a = 8.3313 Å, b = 8.3313 Å, c = 7.7784 Å
α = 117.53°, β = 117.53°, γ = 58.74°
Fractional coordinates of all 19 atoms:
Pu  0.2466  0.7534  0.0000
Pu  0.7534  0.2466  0.0000
Tl  0.0000  0.0000  0.5000
Tl  0.2752  0.2752  0.5569
Tl  0.3026  0.3026  0.1377
Tl  0.6974  0.6974  0.8623
Tl  0.7248  0.7248  0.4431
F  0.0783  0.0783  0.9647
F  0.1232  0.5196  0.8907
F  0.1226  0.7070  0.6608
F  0.2930  0.8774  0.3392
F  0.4804  0.8768  0.1093
F  0.4966  0.4966  0.8353
F  0.5034  0.5034  0.1647
F  0.5196  0.1232  0.8907
F  0.7070  0.1226  0.6608
F  0.8774  0.2930  0.3392
F  0.8768  0.4804  0.1093
F  0.9217  0.9217  0.0353

Top 10 peaks for 2θ = 10–90°, by intensity:
d = 3.471 Å, I 100
d = 3.404 Å, I 78
d = 3.279 Å, I 71
d = 3.382 Å, I 67
d = 3.667 Å, I 60
d = 3.078 Å, I 42
d = 6.569 Å, I 42
d = 2.817 Å, I 40
d = 1.735 Å, I 40
d = 3.297 Å, I 37

***

No. 6
Starting from DFT lattice parameters and positions (PBE), the X-ray powder pattern of PuTl2F8 was simulated for Cu Kα.

Structure:
a = 4.6394 Å, b = 7.4610 Å, c = 7.4642 Å
α = 60.09°, β = 89.97°, γ = 89.99°
Fractional coordinates of all 11 atoms:
Pu  0.0000  0.0000  0.0000
Tl  0.2800  0.3334  0.3336
Tl  0.7200  0.6666  0.6664
F  0.2205  0.6665  0.6664
F  0.2477  0.1354  0.1385
F  0.2477  0.1383  0.7264
F  0.2477  0.7263  0.1350
F  0.7523  0.2737  0.8650
F  0.7523  0.8617  0.2736
F  0.7523  0.8646  0.8615
F  0.7795  0.3335  0.3336

Top 10 peaks for 2θ = 10–90°, by intensity:
d = 3.733 Å, I 100
d = 3.769 Å, I 87
d = 2.162 Å, I 45
d = 1.682 Å, I 24
d = 2.652 Å, I 23
d = 2.155 Å, I 22
d = 2.183 Å, I 20
d = 1.866 Å, I 20
d = 1.885 Å, I 19
d = 1.673 Å, I 14